(1)
Ca6HfO8: theoretical powder diffractogram (CuKα), based on a cell relaxed with PBE.
Neutral-atom scattering factors, no anomalous dispersion.

Structural model:
```
15
Lattice="0.0000 4.8018 4.8018 4.8018 0.0000 4.8018 4.8018 4.8018 0.0000" Properties=species:S:1:pos:R:3 pbc="T T T"
Ca 2.4009 2.4009 0.0000
Ca 2.4009 0.0000 2.4009
Ca 4.8018 2.4009 2.4009
Ca 0.0000 2.4009 2.4009
Ca 2.4009 4.8018 2.4009
Ca 2.4009 2.4009 4.8018
Hf 0.0000 0.0000 0.0000
O 4.8018 4.8018 2.1098
O 4.8018 2.1098 4.8018
O 7.4938 4.8018 4.8018
O 2.4009 2.4009 2.4009
O 7.2027 7.2027 7.2027
O 2.1098 4.8018 4.8018
O 4.8018 7.4938 4.8018
O 4.8018 4.8018 7.4938
```

Most intense lines, 15° ≤ 2θ ≤ 90°, most intense first:
- 5.545 Å, 2θ 15.98, rel. 100
- 2.401 Å, 2θ 37.46, rel. 72
- 2.896 Å, 2θ 30.88, rel. 46
- 1.698 Å, 2θ 54.01, rel. 43
- 2.772 Å, 2θ 32.29, rel. 43
- 1.848 Å, 2θ 49.31, rel. 22
- 1.448 Å, 2θ 64.35, rel. 21
- 1.623 Å, 2θ 56.71, rel. 21
- 2.203 Å, 2θ 40.96, rel. 16
- 1.386 Å, 2θ 67.58, rel. 13
- 1.345 Å, 2θ 69.96, rel. 12
- 4.802 Å, 2θ 18.48, rel. 11



(2)
Ho2TiO5: theoretical powder diffractogram (CuKα), based on a cell relaxed with PBE.
Neutral-atom scattering factors, no anomalous dispersion.

Structural model:
```
16
Lattice="5.8518 -2.6383 0.0000 5.8518 2.6383 0.0000 -3.0200 0.0000 6.9073" Properties=species:S:1:pos:R:3 pbc="T T T"
Ho 0.8602 0.0512 1.7438
Ho -0.6498 -0.0512 5.1974
Ho 9.3334 0.0512 1.7098
Ho 7.8233 -0.0512 5.1635
Ti 5.8518 0.0000 0.0000
Ti 4.3418 0.0000 3.4536
O 4.8857 1.6790 0.3037
O 2.7854 0.7580 2.4895
O 5.3079 1.6790 3.1499
O 3.5868 0.8841 5.1805
O 1.2754 -0.7580 5.9431
O 7.4082 0.7580 0.9642
O 5.0968 -0.8841 1.7268
O 3.3756 -1.6790 3.7574
O 5.8982 -0.7580 4.4178
O 3.7979 -1.6790 6.6036
```

Most intense lines, 15° ≤ 2θ ≤ 90°, most intense first:
- 2.959 Å, 2θ 30.20, rel. 100
- 3.060 Å, 2θ 29.19, rel. 79
- 4.735 Å, 2θ 18.74, rel. 76
- 3.454 Å, 2θ 25.80, rel. 56
- 2.741 Å, 2θ 32.67, rel. 43
- 2.638 Å, 2θ 33.98, rel. 41
- 1.889 Å, 2θ 48.16, rel. 41
- 1.592 Å, 2θ 57.91, rel. 35
- 2.707 Å, 2θ 33.09, rel. 34
- 2.097 Å, 2θ 43.15, rel. 32
- 2.581 Å, 2θ 34.75, rel. 30
- 1.769 Å, 2θ 51.69, rel. 28



(3)
La2Ti3O9: theoretical powder diffractogram (CuKα), based on a cell relaxed with PBE.
Neutral-atom scattering factors, no anomalous dispersion.

Structural model:
```
56
Lattice="7.4968 0.0000 0.0000 0.0000 7.9632 0.0000 0.0000 0.0000 14.7006" Properties=species:S:1:pos:R:3 pbc="T T T"
La 1.0991 1.9908 2.6485
La 1.2330 5.9724 6.1152
La 2.5155 1.9908 13.4656
La 2.6493 5.9724 9.9988
La 4.8475 1.9908 4.7019
La 4.9814 5.9724 1.2351
La 6.2639 1.9908 8.5854
La 6.3978 5.9724 12.0522
Ti 0.0000 0.0000 0.0000
Ti 0.0000 3.9816 0.0000
Ti 1.2961 5.9724 2.1844
Ti 1.3896 1.9908 6.2498
Ti 2.3588 5.9724 13.6001
Ti 2.4523 1.9908 9.5347
Ti 3.7484 0.0000 7.3503
Ti 3.7484 3.9816 7.3503
Ti 5.0445 5.9724 5.1660
Ti 5.1380 1.9908 1.1005
Ti 6.1073 5.9724 8.4509
Ti 6.2007 1.9908 12.5163
O 0.2630 1.9908 0.0980
O 0.3601 5.9724 8.8417
O 0.6472 4.2097 1.8566
O 0.6472 7.7351 1.8566
O 1.0409 1.9908 8.3812
O 1.4344 5.9724 11.9481
O 1.8085 4.1544 13.9908
O 1.8085 7.7904 13.9908
O 1.8193 5.9724 3.8665
O 1.9291 1.9908 11.2168
O 1.9399 0.1728 6.6405
O 1.9399 3.8088 6.6405
O 2.3141 1.9908 4.5978
O 2.7075 5.9724 1.0309
O 3.1012 0.2281 9.2069
O 3.1012 3.7535 9.2069
O 3.3884 1.9908 1.4914
O 3.4854 5.9724 7.4484
O 4.0114 1.9908 7.2523
O 4.1085 5.9724 13.2092
O 4.3956 4.2097 5.4938
O 4.3956 7.7351 5.4938
O 4.7894 1.9908 13.6698
O 5.1828 5.9724 10.1029
O 5.5569 4.1544 8.0602
O 5.5569 7.7904 8.0602
O 5.5677 5.9724 3.4838
O 5.6775 1.9908 10.8342
O 5.6884 0.1728 0.7099
O 5.6884 3.8088 0.7099
O 6.0625 1.9908 2.7525
O 6.4559 5.9724 6.3195
O 6.8496 0.2281 12.8441
O 6.8496 3.7535 12.8441
O 7.1368 1.9908 5.8589
O 7.2338 5.9724 14.6026
```

Most intense lines, 15° ≤ 2θ ≤ 90°, most intense first:
- 3.982 Å, 2θ 22.33, rel. 100
- 3.634 Å, 2θ 24.49, rel. 80
- 3.300 Å, 2θ 27.02, rel. 77
- 2.734 Å, 2θ 32.76, rel. 53
- 2.541 Å, 2θ 35.33, rel. 44
- 2.683 Å, 2θ 33.39, rel. 42
- 1.991 Å, 2θ 45.57, rel. 36
- 4.173 Å, 2θ 21.29, rel. 30
- 1.718 Å, 2θ 53.33, rel. 28
- 4.382 Å, 2θ 20.26, rel. 27
- 2.226 Å, 2θ 40.52, rel. 25
- 5.117 Å, 2θ 17.33, rel. 25



(4)
Li5Bi2P5O18: theoretical powder diffractogram (CuKα), based on a cell relaxed with PBE.
Neutral-atom scattering factors, no anomalous dispersion.

Structural model:
```
60
Lattice="6.7903 0.0000 0.0000 -0.2800 9.5290 0.0000 -0.2647 -1.4497 11.1423" Properties=species:S:1:pos:R:3 pbc="T T T"
Li -0.0505 4.1549 1.5124
Li 0.5076 5.9408 7.3893
Li 0.9391 2.7753 7.1998
Li 1.8237 7.0972 9.5000
Li 2.5867 1.5612 4.5006
Li 3.6589 6.5181 6.6416
Li 4.4219 0.9821 1.6422
Li 5.3064 5.3039 3.9425
Li 5.7379 2.1385 3.7530
Li 6.2961 3.9243 9.6298
Bi 1.1650 7.6767 4.3750
Bi 1.9712 1.1534 10.4443
Bi 4.2744 6.9258 0.6979
Bi 5.0806 0.4026 6.7672
P 0.9369 0.5167 1.8424
P 0.9558 7.1766 1.0215
P 1.2392 4.2324 4.4969
P 1.6849 -0.2024 7.3400
P 2.9328 4.2744 8.7312
P 3.3128 3.8049 2.4111
P 4.5607 8.2816 3.8022
P 5.0064 3.8468 6.6453
P 5.2898 0.9026 10.1208
P 5.3087 7.5626 9.2999
O -0.1248 6.2142 0.4869
O -0.2332 6.7148 9.2253
O 0.0609 4.0596 3.5268
O 0.1566 8.5591 1.2942
O 0.5587 0.8671 7.4526
O 0.8581 8.0096 6.7157
O 1.1058 5.5338 5.3400
O 1.5948 0.2893 3.2197
O 1.4984 2.9918 5.3331
O 1.5760 6.6994 2.3364
O 1.9906 0.9264 0.7901
O 1.7574 3.3356 9.0615
O 2.0953 7.4205 0.0141
O 2.2402 3.7882 1.2929
O 2.2373 -0.5321 8.7535
O 2.5949 4.5332 3.6588
O 2.4671 5.6434 8.2200
O 2.7786 0.4034 6.3936
O 3.4670 7.6758 4.7487
O 3.7785 2.4358 2.9223
O 3.6506 3.5460 7.4835
O 4.0083 8.6114 2.3888
O 4.0054 4.2911 9.8494
O 4.1503 0.6588 11.1281
O 4.4882 4.7437 2.0808
O 4.2550 7.1529 10.3521
O 4.6696 1.3798 8.8058
O 4.7471 5.0874 5.8091
O 4.6508 7.7899 7.9225
O 5.1398 2.5455 5.8022
O 5.3875 0.0696 4.4265
O 5.6869 7.2121 3.6897
O 6.0890 -0.4799 9.8481
O 6.1847 4.0197 7.6154
O 6.4787 1.3644 1.9170
O 6.3703 1.8650 10.6553
```

Most intense lines, 15° ≤ 2θ ≤ 90°, most intense first:
- 3.393 Å, 2θ 26.26, rel. 100
- 4.567 Å, 2θ 19.44, rel. 78
- 4.898 Å, 2θ 18.11, rel. 66
- 4.709 Å, 2θ 18.84, rel. 59
- 2.181 Å, 2θ 41.40, rel. 52
- 3.314 Å, 2θ 26.90, rel. 51
- 3.226 Å, 2θ 27.65, rel. 49
- 3.617 Å, 2θ 24.62, rel. 47
- 3.097 Å, 2θ 28.83, rel. 40
- 4.365 Å, 2θ 20.35, rel. 37
- 3.821 Å, 2θ 23.28, rel. 33
- 2.602 Å, 2θ 34.47, rel. 33



(5)
UB2Os3: theoretical powder diffractogram (CuKα), based on a cell relaxed with PBE.
Neutral-atom scattering factors, no anomalous dispersion.

Structural model:
```
6
Lattice="5.5718 0.0000 0.0000 -2.7859 4.8253 0.0000 0.0000 0.0000 2.9601" Properties=species:S:1:pos:R:3 pbc="T T T"
U 0.0000 0.0000 0.0000
B 0.0000 3.2169 0.0000
B 2.7859 1.6084 0.0000
Os -1.3929 2.4127 1.4801
Os 2.7859 0.0000 1.4801
Os 1.3929 2.4127 1.4801
```

Most intense lines, 15° ≤ 2θ ≤ 90°, most intense first:
- 2.413 Å, 2θ 37.27, rel. 100
- 2.523 Å, 2θ 35.58, rel. 62
- 2.029 Å, 2θ 44.67, rel. 37
- 1.261 Å, 2θ 75.35, rel. 31
- 1.553 Å, 2θ 59.54, rel. 29
- 1.393 Å, 2θ 67.21, rel. 19
- 1.870 Å, 2θ 48.69, rel. 18
- 1.219 Å, 2θ 78.42, rel. 14
- 1.413 Å, 2θ 66.11, rel. 12
- 1.206 Å, 2θ 79.44, rel. 12
- 2.960 Å, 2θ 30.19, rel. 9
- 1.480 Å, 2θ 62.78, rel. 8



(6)
PtC: theoretical powder diffractogram (CuKα), based on a cell relaxed with PBE.
Neutral-atom scattering factors, no anomalous dispersion.

Structural model:
```
2
Lattice="3.0284 0.0000 0.0000 -1.5142 2.6226 0.0000 0.0000 0.0000 2.8840" Properties=species:S:1:pos:R:3 pbc="T T T"
Pt 0.0000 0.0000 0.0000
C 0.0000 1.7484 1.4420
```

Most intense lines, 15° ≤ 2θ ≤ 90°, most intense first:
- 2.623 Å, 2θ 34.19, rel. 100
- 1.940 Å, 2θ 46.82, rel. 93
- 2.884 Å, 2θ 31.01, rel. 40
- 1.341 Å, 2θ 70.20, rel. 25
- 1.514 Å, 2θ 61.21, rel. 22
- 1.264 Å, 2θ 75.19, rel. 21
- 1.194 Å, 2θ 80.45, rel. 20
- 1.311 Å, 2θ 72.02, rel. 12
- 1.442 Å, 2θ 64.64, rel. 6



(7)
GdB12: theoretical powder diffractogram (CuKα), based on a cell relaxed with PBE.
Neutral-atom scattering factors, no anomalous dispersion.

Structural model:
```
13
Lattice="0.0000 3.7584 3.7584 3.7584 0.0000 3.7584 3.7584 3.7584 0.0000" Properties=species:S:1:pos:R:3 pbc="T T T"
Gd 0.0000 0.0000 0.0000
B 3.7584 2.4906 2.4906
B 5.0262 3.7584 2.4906
B 5.0262 2.4906 3.7584
B 2.4906 3.7584 2.4906
B 3.7584 5.0262 2.4906
B 2.4906 2.4906 3.7584
B 5.0262 5.0262 3.7584
B 3.7584 2.4906 5.0262
B 5.0262 3.7584 5.0262
B 2.4906 5.0262 3.7584
B 2.4906 3.7584 5.0262
B 3.7584 5.0262 5.0262
```

Most intense lines, 15° ≤ 2θ ≤ 90°, most intense first:
- 2.266 Å, 2θ 39.77, rel. 100
- 4.340 Å, 2θ 20.46, rel. 92
- 3.758 Å, 2θ 23.67, rel. 72
- 2.658 Å, 2θ 33.73, rel. 42
- 1.724 Å, 2θ 53.11, rel. 33
- 1.271 Å, 2θ 74.71, rel. 31
- 2.170 Å, 2θ 41.62, rel. 30
- 1.534 Å, 2θ 60.32, rel. 29
- 1.681 Å, 2θ 54.60, rel. 23
- 1.253 Å, 2θ 75.96, rel. 21
- 1.447 Å, 2θ 64.41, rel. 16
- 1.879 Å, 2θ 48.44, rel. 11



Please write out number 2 again, unchanged.
Ho2TiO5: theoretical powder diffractogram (CuKα), based on a cell relaxed with PBE.
Neutral-atom scattering factors, no anomalous dispersion.

Structural model:
```
16
Lattice="5.8518 -2.6383 0.0000 5.8518 2.6383 0.0000 -3.0200 0.0000 6.9073" Properties=species:S:1:pos:R:3 pbc="T T T"
Ho 0.8602 0.0512 1.7438
Ho -0.6498 -0.0512 5.1974
Ho 9.3334 0.0512 1.7098
Ho 7.8233 -0.0512 5.1635
Ti 5.8518 0.0000 0.0000
Ti 4.3418 0.0000 3.4536
O 4.8857 1.6790 0.3037
O 2.7854 0.7580 2.4895
O 5.3079 1.6790 3.1499
O 3.5868 0.8841 5.1805
O 1.2754 -0.7580 5.9431
O 7.4082 0.7580 0.9642
O 5.0968 -0.8841 1.7268
O 3.3756 -1.6790 3.7574
O 5.8982 -0.7580 4.4178
O 3.7979 -1.6790 6.6036
```

Most intense lines, 15° ≤ 2θ ≤ 90°, most intense first:
- 2.959 Å, 2θ 30.20, rel. 100
- 3.060 Å, 2θ 29.19, rel. 79
- 4.735 Å, 2θ 18.74, rel. 76
- 3.454 Å, 2θ 25.80, rel. 56
- 2.741 Å, 2θ 32.67, rel. 43
- 2.638 Å, 2θ 33.98, rel. 41
- 1.889 Å, 2θ 48.16, rel. 41
- 1.592 Å, 2θ 57.91, rel. 35
- 2.707 Å, 2θ 33.09, rel. 34
- 2.097 Å, 2θ 43.15, rel. 32
- 2.581 Å, 2θ 34.75, rel. 30
- 1.769 Å, 2θ 51.69, rel. 28